The following is a simulated powder diffractogram of Ga3Ni5Ge2. It was derived from a DFT-relaxed cell (GGA-PBE, the Materials Project), using a wavelength of 1.5418 Å.
Lines closer than 0.1° are merged.

Main lines, in order of rising 2θ (2θ from 10° to 80°):
2theta  d [Å]  Rel. int.
28.15  3.170  5
31.85  2.809  8
34.11  2.629  13
43.21  2.094  11
44.71  2.027  30
44.81  2.023  18
45.85  1.979  100
46.51  1.952  31
65.35  1.428  6
66.57  1.405  14
67.13  1.394  7
75.84  1.254  7

Cell and atoms:
```
data_Ga3Ni5Ge2
_cell_length_a 6.374
_cell_length_b 6.374
_cell_length_c 11.155
_cell_angle_alpha 90.00
_cell_angle_beta 90.00
_cell_angle_gamma 144.33
_symmetry_space_group_name_H-M 'P 1'
_symmetry_Int_Tables_number 1
loop_
_symmetry_equiv_pos_as_xyz
'x,y,z'
loop_
_atom_site_label
_atom_site_type_symbol
_atom_site_fract_x
_atom_site_fract_y
_atom_site_fract_z
Ga1 Ga 0.000 0.000 0.000
Ga2 Ga 0.000 0.000 0.500
Ga3 Ga 0.331 0.669 0.523
Ga4 Ga 0.331 0.669 0.977
Ga5 Ga 0.669 0.331 0.023
Ga6 Ga 0.669 0.331 0.477
Ni1 Ni 0.159 0.841 0.632
Ni2 Ni 0.159 0.841 0.868
Ni3 Ni 0.340 0.660 0.750
Ni4 Ni 0.479 0.521 0.132
Ni5 Ni 0.479 0.521 0.368
Ni6 Ni 0.521 0.479 0.632
Ni7 Ni 0.521 0.479 0.868
Ni8 Ni 0.660 0.340 0.250
Ni9 Ni 0.841 0.159 0.132
Ni10 Ni 0.841 0.159 0.368
Ge1 Ge 0.037 0.963 0.250
Ge2 Ge 0.289 0.711 0.250
Ge3 Ge 0.711 0.289 0.750
Ge4 Ge 0.963 0.037 0.750
```